For Pr4Nd2YMg, a structure optimized by DFT (GGA-PBE) gives the simulated powder X-ray diffraction pattern in this record (CuKα).
Lines closer than 0.1° are merged.

Top 12 peaks for 5 to 70 degrees two-theta, in order of rising 2θ:
2θ = 17.27°, I 3; 2θ = 19.35°, I 9; 2θ = 24.55°, I 3; 2θ = 30.17°, I 100; 2θ = 31.41°, I 3; 2θ = 34.98°, I 51; 2θ = 40.31°, I 3; 2θ = 47.72°, I 3; 2θ = 50.31°, I 36; 2θ = 59.72°, I 14; 2θ = 59.82°, I 28; 2θ = 62.74°, I 12

Cell and atoms:
a b c (Å): 5.126 5.126 10.276
angles (deg): 90.00 90.00 90.00
Fractional coordinates of all 8 atoms:
Pr 0.000 0.500 0.247
Pr 0.000 0.500 0.753
Pr 0.500 0.000 0.247
Pr 0.500 0.000 0.753
Nd 0.000 0.000 0.000
Nd 0.500 0.500 0.500
Y 0.000 0.000 0.500
Mg 0.500 0.500 0.000

For Nd2MgPt9, a structure optimized by DFT (GGA-PBE) gives the simulated powder X-ray diffraction pattern in this record (CuKα).
Lines closer than 0.1° are merged.

Top 12 peaks for 5 to 70 degrees two-theta, in order of rising 2θ:
2θ = 19.14°, I 48; 2θ = 19.97°, I 20; 2θ = 32.93°, I 25; 2θ = 38.39°, I 24; 2θ = 38.82°, I 100; 2θ = 40.59°, I 46; 2θ = 41.92°, I 89; 2θ = 45.27°, I 27; 2θ = 51.47°, I 8; 2θ = 62.78°, I 23; 2θ = 64.98°, I 16; 2θ = 69.11°, I 27

Cell and atoms:
a b c (Å): 9.437 9.437 9.437
angles (deg): 33.48 33.48 33.48
Fractional coordinates of all 12 atoms:
Nd 0.137 0.137 0.137
Nd 0.863 0.863 0.863
Mg 0.000 0.000 0.000
Pt 0.080 0.586 0.586
Pt 0.333 0.333 0.333
Pt 0.414 0.414 0.920
Pt 0.414 0.920 0.414
Pt 0.500 0.500 0.500
Pt 0.586 0.080 0.586
Pt 0.586 0.586 0.080
Pt 0.667 0.667 0.667
Pt 0.920 0.414 0.414

For Nd3Mg2Pt3, a structure optimized by DFT (GGA-PBE) gives the simulated powder X-ray diffraction pattern in this record (CuKα).
Lines closer than 0.1° are merged.

Top 12 peaks for 5 to 70 degrees two-theta, in order of rising 2θ:
2θ = 20.74°, I 63; 2θ = 30.24°, I 52; 2θ = 35.43°, I 100; 2θ = 36.33°, I 48; 2θ = 36.95°, I 47; 2θ = 46.75°, I 38; 2θ = 47.97°, I 32; 2θ = 56.24°, I 12; 2θ = 57.14°, I 26; 2θ = 62.89°, I 8; 2θ = 65.60°, I 14; 2θ = 68.82°, I 21

Cell and atoms:
a b c (Å): 8.567 8.567 5.911
angles (deg): 90.00 90.00 120.00
Fractional coordinates of all 16 atoms:
Nd 0.000 0.272 0.250
Nd 0.000 0.728 0.750
Nd 0.272 0.000 0.250
Nd 0.272 0.272 0.750
Nd 0.728 0.000 0.750
Nd 0.728 0.728 0.250
Mg 0.333 0.667 0.000
Mg 0.333 0.667 0.500
Mg 0.667 0.333 0.000
Mg 0.667 0.333 0.500
Pt 0.000 0.391 0.750
Pt 0.000 0.609 0.250
Pt 0.391 0.000 0.750
Pt 0.391 0.391 0.250
Pt 0.609 0.000 0.250
Pt 0.609 0.609 0.750

For Nd3MgPt, a structure optimized by DFT (GGA-PBE) gives the simulated powder X-ray diffraction pattern in this record (CuKα).
Lines closer than 0.1° are merged.

Top 12 peaks for 5 to 70 degrees two-theta, in order of rising 2θ:
2θ = 10.42°, I 78; 2θ = 18.01°, I 27; 2θ = 30.58°, I 34; 2θ = 30.70°, I 35; 2θ = 31.62°, I 16; 2θ = 33.35°, I 100; 2θ = 34.12°, I 19; 2θ = 36.63°, I 23; 2θ = 38.19°, I 54; 2θ = 46.61°, I 13; 2θ = 48.51°, I 18; 2θ = 55.54°, I 18

Cell and atoms:
a b c (Å): 9.813 9.168 6.022
angles (deg): 77.44 65.76 36.80
Fractional coordinates of all 10 atoms:
Nd 0.202 0.584 0.416
Nd 0.204 0.204 0.796
Nd 0.416 0.798 0.202
Nd 0.584 0.202 0.798
Nd 0.796 0.796 0.204
Nd 0.798 0.416 0.584
Mg 0.200 0.800 0.800
Mg 0.800 0.200 0.200
Pt 0.250 0.250 0.250
Pt 0.750 0.750 0.750

For NdMg3Pt, a structure optimized by DFT (GGA-PBE) gives the simulated powder X-ray diffraction pattern in this record (CuKα).
Lines closer than 0.1° are merged.

Top 12 peaks for 5 to 70 degrees two-theta, in order of rising 2θ:
2θ = 12.64°, I 100; 2θ = 28.68°, I 17; 2θ = 30.21°, I 19; 2θ = 32.87°, I 26; 2θ = 34.79°, I 10; 2θ = 35.33°, I 24; 2θ = 36.35°, I 13; 2θ = 37.25°, I 20; 2θ = 38.09°, I 17; 2θ = 38.50°, I 23; 2θ = 39.76°, I 13; 2θ = 39.89°, I 11

Cell and atoms:
a b c (Å): 5.628 5.916 7.456
angles (deg): 90.00 110.04 90.00
Fractional coordinates of all 10 atoms:
Nd 0.094 0.250 0.384
Nd 0.906 0.750 0.616
Mg 0.038 0.250 0.892
Mg 0.490 0.503 0.204
Mg 0.490 0.997 0.204
Mg 0.510 0.003 0.796
Mg 0.510 0.497 0.796
Mg 0.962 0.750 0.108
Pt 0.323 0.750 0.464
Pt 0.677 0.250 0.536

For NdMgSc2Pt4, a structure optimized by DFT (GGA-PBE) gives the simulated powder X-ray diffraction pattern in this record (CuKα).
Lines closer than 0.1° are merged.

Top 12 peaks for 5 to 70 degrees two-theta, in order of rising 2θ:
2θ = 26.42°, I 55; 2θ = 28.43°, I 20; 2θ = 33.24°, I 30; 2θ = 35.95°, I 80; 2θ = 39.40°, I 100; 2θ = 41.85°, I 12; 2θ = 44.98°, I 20; 2θ = 48.07°, I 12; 2θ = 54.40°, I 24; 2θ = 63.84°, I 10; 2θ = 68.33°, I 22; 2θ = 69.22°, I 24

Cell and atoms:
a b c (Å): 8.980 8.980 8.980
angles (deg): 29.50 29.50 29.50
Fractional coordinates of all 8 atoms:
Nd 0.000 0.000 0.000
Mg 0.500 0.500 0.500
Sc 0.239 0.239 0.239
Sc 0.761 0.761 0.761
Pt 0.129 0.129 0.129
Pt 0.396 0.396 0.396
Pt 0.604 0.604 0.604
Pt 0.871 0.871 0.871

For Nd14PuMg, a structure optimized by DFT (GGA-PBE) gives the simulated powder X-ray diffraction pattern in this record (CuKα).
Lines closer than 0.1° are merged.

Top 12 peaks for 5 to 70 degrees two-theta, in order of rising 2θ:
2θ = 12.19°, I 3; 2θ = 14.94°, I 4; 2θ = 21.18°, I 2; 2θ = 28.83°, I 3; 2θ = 30.14°, I 100; 2θ = 32.62°, I 1; 2θ = 34.94°, I 51; 2θ = 38.19°, I 1; 2θ = 50.24°, I 36; 2θ = 52.72°, I 1; 2θ = 59.71°, I 43; 2θ = 62.66°, I 12

Cell and atoms:
a b c (Å): 10.280 7.261 7.261
angles (deg): 90.00 90.00 90.00
Fractional coordinates of all 16 atoms:
Nd 0.000 0.000 0.000
Nd 0.000 0.002 0.498
Nd 0.000 0.498 0.002
Nd 0.000 0.500 0.500
Nd 0.255 0.750 0.750
Nd 0.257 0.249 0.750
Nd 0.257 0.750 0.249
Nd 0.259 0.249 0.249
Nd 0.500 0.503 0.996
Nd 0.500 0.996 0.503
Nd 0.741 0.249 0.249
Nd 0.743 0.249 0.750
Nd 0.743 0.750 0.249
Nd 0.745 0.750 0.750
Pu 0.500 0.000 0.000
Mg 0.500 0.499 0.499

For NdMg4Rh2, a structure optimized by DFT (GGA-PBE) gives the simulated powder X-ray diffraction pattern in this record (CuKα).
Lines closer than 0.1° are merged.

Top 12 peaks for 5 to 70 degrees two-theta, in order of rising 2θ:
2θ = 15.14°, I 43; 2θ = 24.05°, I 23; 2θ = 26.27°, I 33; 2θ = 30.56°, I 40; 2θ = 32.36°, I 100; 2θ = 37.57°, I 17; 2θ = 39.18°, I 46; 2θ = 40.72°, I 27; 2θ = 43.46°, I 23; 2θ = 45.18°, I 23; 2θ = 60.17°, I 17; 2θ = 64.66°, I 23

Cell and atoms:
a b c (Å): 8.275 8.275 4.164
angles (deg): 90.00 90.00 90.00
Fractional coordinates of all 14 atoms:
Nd 0.000 0.000 0.000
Nd 0.500 0.500 0.500
Mg 0.097 0.338 0.500
Mg 0.162 0.597 0.000
Mg 0.338 0.097 0.500
Mg 0.403 0.838 0.000
Mg 0.597 0.162 0.000
Mg 0.662 0.903 0.500
Mg 0.838 0.403 0.000
Mg 0.903 0.662 0.500
Rh 0.199 0.801 0.500
Rh 0.301 0.301 0.000
Rh 0.699 0.699 0.000
Rh 0.801 0.199 0.500